(1)
La3GaPd12: simulated powder XRD pattern (CuKα), based on a GGA-PBE-relaxed structure.

Peak list (10 most intense, 2θ from 10° to 90°, by angle)
Position (°2θ), Rel. int.
34.40, 4
37.47, 100
43.02, 36
44.56, 12
62.47, 12
63.66, 16
71.21, 5
75.17, 25
77.36, 6
79.93, 8

Crystal structure
Cell lengths 4.205, 4.205, 16.268 Å; angles 90.00, 90.00, 90.00 degrees
Sites, in units of the cell vectors:
La  0.000  0.000  0.000
La  0.000  0.000  0.262
La  0.000  0.000  0.738
Ga  0.000  0.000  0.500
Pd  0.000  0.500  0.130
Pd  0.000  0.500  0.393
Pd  0.000  0.500  0.607
Pd  0.000  0.500  0.870
Pd  0.500  0.000  0.130
Pd  0.500  0.000  0.393
Pd  0.500  0.000  0.607
Pd  0.500  0.000  0.870
Pd  0.500  0.500  0.000
Pd  0.500  0.500  0.262
Pd  0.500  0.500  0.500
Pd  0.500  0.500  0.738

(2)
LaSmCo2: simulated powder XRD pattern (CuKα), based on a GGA-PBE-relaxed structure.

Peak list (9 most intense, 2θ from 10° to 90°, by angle)
Position (°2θ), Rel. int.
25.71, 19
36.67, 100
45.33, 6
52.84, 17
59.66, 8
66.04, 34
77.99, 11
83.73, 4
89.42, 15

Crystal structure
Cell lengths 3.465, 3.465, 6.933 Å; angles 90.00, 90.00, 90.00 degrees
Sites, in units of the cell vectors:
La  0.000  0.000  0.000
Sm  0.000  0.000  0.500
Co  0.500  0.500  0.255
Co  0.500  0.500  0.745

(3)
BaCeSi2S8: simulated powder XRD pattern (CuKα), based on a GGA-PBE-relaxed structure.

Peak list (10 most intense, 2θ from 10° to 90°, by angle)
Position (°2θ), Rel. int.
16.62, 75
25.39, 100
28.99, 43
30.57, 31
34.93, 85
38.91, 31
42.37, 16
49.06, 38
49.25, 32
51.38, 33

Crystal structure
Cell lengths 6.160, 6.160, 9.309 Å; angles 90.00, 90.00, 120.00 degrees
Sites, in units of the cell vectors:
Ba  0.000  0.000  0.000
Ce  0.000  0.000  0.500
Si  0.333  0.667  0.755
Si  0.667  0.333  0.245
S  0.001  0.662  0.309
S  0.333  0.667  0.983
S  0.338  0.001  0.691
S  0.338  0.338  0.309
S  0.662  0.662  0.691
S  0.662  0.999  0.309
S  0.667  0.333  0.017
S  0.999  0.338  0.691

(4)
BeCr2: simulated powder XRD pattern (CuKα), based on a GGA-PBE-relaxed structure.

Peak list (10 most intense, 2θ from 10° to 90°, by angle)
Position (°2θ), Rel. int.
26.21, 90
37.91, 19
46.24, 99
46.67, 100
53.93, 11
61.27, 24
67.80, 29
85.71, 14
86.02, 29
86.95, 18

Crystal structure
Cell lengths 3.926, 3.926, 2.374 Å; angles 90.00, 90.00, 120.00 degrees
Sites, in units of the cell vectors:
Be  0.000  0.000  0.000
Cr  0.333  0.667  0.638
Cr  0.667  0.333  0.362

(5)
B5C3: simulated powder XRD pattern (CuKα), based on a GGA-PBE-relaxed structure.

Peak list (10 most intense, 2θ from 10° to 90°, by angle)
Position (°2θ), Rel. int.
16.63, 100
25.06, 14
33.63, 7
40.36, 58
42.40, 11
43.65, 10
68.84, 9
70.02, 18
71.60, 5
85.40, 6

Crystal structure
Cell lengths 10.772, 10.772, 10.772 Å; angles 14.33, 14.33, 14.33 degrees
Sites, in units of the cell vectors:
B  0.000  0.000  0.000
B  0.053  0.053  0.053
B  0.301  0.301  0.301
B  0.462  0.462  0.462
B  0.581  0.581  0.581
C  0.251  0.251  0.251
C  0.741  0.741  0.741
C  0.790  0.790  0.790

(6)
Cs12Cd: simulated powder XRD pattern (CuKα), based on a GGA-PBE-relaxed structure.

Peak list (10 most intense, 2θ from 10° to 90°, by angle)
Position (°2θ), Rel. int.
20.09, 100
22.03, 34
23.82, 86
37.51, 57
38.64, 17
39.75, 41
43.93, 16
45.90, 18
54.95, 19
55.80, 17

Crystal structure
Cell lengths 12.107, 12.107, 12.107 Å; angles 109.47, 109.47, 109.47 degrees
Sites, in units of the cell vectors:
Cs  0.129  0.825  0.304
Cs  0.175  0.304  0.478
Cs  0.175  0.696  0.871
Cs  0.304  0.129  0.825
Cs  0.304  0.478  0.175
Cs  0.478  0.175  0.304
Cs  0.522  0.825  0.696
Cs  0.696  0.522  0.825
Cs  0.696  0.871  0.175
Cs  0.825  0.304  0.129
Cs  0.825  0.696  0.522
Cs  0.871  0.175  0.696
Cd  0.000  0.000  0.000

(7)
La2PmCu9: simulated powder XRD pattern (CuKα), based on a GGA-PBE-relaxed structure.

Peak list (10 most intense, 2θ from 10° to 90°, by angle)
Position (°2θ), Rel. int.
31.39, 37
34.09, 39
34.28, 23
39.73, 31
40.29, 100
42.43, 14
43.50, 12
65.23, 26
65.52, 12
71.79, 18

Crystal structure
Cell lengths 9.047, 9.047, 9.047 Å; angles 33.80, 33.80, 33.80 degrees
Sites, in units of the cell vectors:
La  0.144  0.144  0.144
La  0.856  0.856  0.856
Pm  0.000  0.000  0.000
Cu  0.086  0.576  0.576
Cu  0.331  0.331  0.331
Cu  0.424  0.424  0.914
Cu  0.424  0.914  0.424
Cu  0.500  0.500  0.500
Cu  0.576  0.086  0.576
Cu  0.576  0.576  0.086
Cu  0.669  0.669  0.669
Cu  0.914  0.424  0.424

(8)
Ca2SnHg8: simulated powder XRD pattern (CuKα), based on a GGA-PBE-relaxed structure.

Peak list (10 most intense, 2θ from 10° to 90°, by angle)
Position (°2θ), Rel. int.
20.61, 8
23.17, 9
26.42, 11
33.75, 100
37.71, 40
41.94, 11
54.40, 14
57.66, 17
65.56, 30
70.97, 9

Crystal structure
Cell lengths 4.771, 4.771, 12.926 Å; angles 90.00, 90.00, 90.00 degrees
Sites, in units of the cell vectors:
Ca  0.000  0.000  0.180
Ca  0.000  0.000  0.820
Sn  0.000  0.000  0.500
Hg  0.000  0.500  0.000
Hg  0.000  0.500  0.352
Hg  0.000  0.500  0.648
Hg  0.500  0.000  0.000
Hg  0.500  0.000  0.352
Hg  0.500  0.000  0.648
Hg  0.500  0.500  0.180
Hg  0.500  0.500  0.820

(9)
Sm5Ga2Bi: simulated powder XRD pattern (CuKα), based on a GGA-PBE-relaxed structure.

Peak list (10 most intense, 2θ from 10° to 90°, by angle)
Position (°2θ), Rel. int.
24.68, 21
30.12, 20
31.19, 43
31.43, 100
33.78, 89
34.75, 36
51.75, 19
54.18, 22
63.40, 26
67.17, 18

Crystal structure
Cell lengths 8.838, 8.838, 8.838 Å; angles 123.32, 123.32, 84.34 degrees
Sites, in units of the cell vectors:
Sm  0.000  0.000  0.000
Sm  0.012  0.512  0.808
Sm  0.205  0.012  0.500
Sm  0.295  0.795  0.808
Sm  0.488  0.295  0.500
Sm  0.500  0.500  0.000
Sm  0.512  0.705  0.500
Sm  0.705  0.205  0.192
Sm  0.795  0.988  0.500
Sm  0.988  0.488  0.192
Ga  0.147  0.353  0.500
Ga  0.353  0.853  0.205
Ga  0.647  0.147  0.795
Ga  0.853  0.647  0.500
Bi  0.250  0.250  0.000
Bi  0.750  0.750  0.000

(10)
AcCeZn4: simulated powder XRD pattern (CuKα), based on a GGA-PBE-relaxed structure.

Peak list (10 most intense, 2θ from 10° to 90°, by angle)
Position (°2θ), Rel. int.
26.83, 41
31.49, 100
35.45, 54
41.90, 38
45.73, 27
50.45, 15
56.02, 29
60.75, 12
63.75, 19
70.04, 20

Crystal structure
Cell lengths 4.312, 4.312, 15.641 Å; angles 90.00, 90.00, 90.00 degrees
Sites, in units of the cell vectors:
Ac  0.000  0.000  0.000
Ac  0.500  0.500  0.500
Ce  0.000  0.500  0.750
Ce  0.500  0.000  0.250
Zn  0.000  0.000  0.413
Zn  0.000  0.000  0.587
Zn  0.000  0.500  0.170
Zn  0.000  0.500  0.330
Zn  0.500  0.000  0.670
Zn  0.500  0.000  0.830
Zn  0.500  0.500  0.087
Zn  0.500  0.500  0.913

(11)
MnPd5Au: simulated powder XRD pattern (CuKα), based on a GGA-PBE-relaxed structure.

Peak list (10 most intense, 2θ from 10° to 90°, by angle)
Position (°2θ), Rel. int.
19.72, 58
25.45, 21
38.02, 23
39.77, 100
40.05, 98
46.42, 96
67.75, 40
81.31, 24
81.57, 12
81.86, 24

Crystal structure
Cell lengths 5.507, 7.820, 5.564 Å; angles 90.00, 90.00, 90.00 degrees
Sites, in units of the cell vectors:
Mn  0.000  0.000  0.000
Mn  0.500  0.500  0.000
Pd  0.000  0.500  0.000
Pd  0.250  0.250  0.250
Pd  0.250  0.250  0.750
Pd  0.250  0.750  0.250
Pd  0.250  0.750  0.750
Pd  0.500  0.000  0.000
Pd  0.750  0.250  0.250
Pd  0.750  0.250  0.750
Pd  0.750  0.750  0.250
Pd  0.750  0.750  0.750
Au  0.000  0.500  0.500
Au  0.500  0.000  0.500

(12)
SrTa2Tc: simulated powder XRD pattern (CuKα), based on a GGA-PBE-relaxed structure.

Peak list (10 most intense, 2θ from 10° to 90°, by angle)
Position (°2θ), Rel. int.
36.23, 19
36.54, 30
37.27, 100
42.66, 18
52.40, 13
55.04, 9
66.25, 19
67.89, 10
75.40, 8
79.45, 8

Crystal structure
Cell lengths 3.337, 4.918, 9.918 Å; angles 90.00, 90.00, 90.00 degrees
Sites, in units of the cell vectors:
Sr  0.000  0.000  0.000
Sr  0.500  0.500  0.000
Ta  0.000  0.000  0.537
Ta  0.000  0.500  0.307
Ta  0.500  0.000  0.307
Ta  0.500  0.500  0.537
Tc  0.000  0.500  0.737
Tc  0.500  0.000  0.737

(13)
LaPm4Ho2Th: simulated powder XRD pattern (CuKα), based on a GGA-PBE-relaxed structure.

Peak list (10 most intense, 2θ from 10° to 90°, by angle)
Position (°2θ), Rel. int.
30.20, 100
34.77, 17
35.13, 34
50.26, 24
50.52, 12
59.52, 14
60.00, 29
62.79, 12
81.75, 9
82.19, 6

Crystal structure
Cell lengths 5.105, 5.114, 10.321 Å; angles 90.00, 90.05, 90.00 degrees
Sites, in units of the cell vectors:
La  0.000  0.000  0.000
Pm  0.000  0.500  0.256
Pm  0.000  0.500  0.744
Pm  0.500  0.000  0.257
Pm  0.500  0.000  0.743
Ho  0.000  0.000  0.500
Ho  0.500  0.500  0.000
Th  0.500  0.500  0.500

(14)
PrYSi2Ni2: simulated powder XRD pattern (CuKα), based on a GGA-PBE-relaxed structure.

Peak list (10 most intense, 2θ from 10° to 90°, by angle)
Position (°2θ), Rel. int.
25.76, 18
27.94, 11
33.69, 100
43.48, 13
45.43, 35
51.23, 6
57.73, 21
64.70, 23
73.55, 9
76.37, 18

Crystal structure
Cell lengths 3.993, 3.993, 8.325 Å; angles 90.00, 90.00, 120.00 degrees
Sites, in units of the cell vectors:
Pr  0.000  0.000  0.000
Y  0.000  0.000  0.500
Si  0.333  0.667  0.259
Si  0.667  0.333  0.741
Ni  0.333  0.667  0.738
Ni  0.667  0.333  0.262